The following is a calculated XRD peak list of ZnCu2SiTe2S2. It was derived from a GGA-PBE-relaxed structure, using Cu Kα, 1.54184 Å.

Most intense lines, 10° ≤ 2θ ≤ 90°, sorted by position:
| 2theta | I_rel | h k l |
| --- | --- | --- |
| 15.8 | 17 | 0 0 2 |
| 22.0 | 24 | 0 2 0 |
| 27.2 | 87 | 0 2 2 |
| 27.6 | 100 | 2 0 2 |
| 35.6 | 36 | 2 2 2 |
| 44.8 | 23 | 0 4 0 |
| 45.6 | 80 | 2 2 4 |
| 46.0 | 21 | 4 0 0 |
| 53.4 | 29 | 2 4 2 |
| 54.0 | 14 | 0 2 6 |
| 54.2 | 32 | 4 2 2 |
| 84.8 | 16 | 6 2 4 |

```
data_ZnCu2SiTe2S2
_chemical_formula_sum 'Zn4 Cu8 Si4 Te8 S8'
_space_group_name_H-M_alt 'F m m 2'
_space_group_IT_number 42
_space_group_name_Hall 'F 2 -2'
_cell_length_a 7.896
_cell_length_b 8.094
_cell_length_c 11.225
_cell_angle_alpha 90.00
_cell_angle_beta 90.00
_cell_angle_gamma 90.00
loop_
_atom_site_label
_atom_site_type_symbol
_atom_site_fract_x
_atom_site_fract_y
_atom_site_fract_z
Zn1 Zn 0.000 0.000 0.000
Cu1 Cu 0.250 0.250 0.289
Si1 Si 0.000 0.000 0.500
Te1 Te 0.000 0.242 0.641
S1 S 0.229 0.000 0.387
```